For Fe4O3F5, a crystal structure in Alexandria, relaxed with PBE+U gives the computed powder X-ray diffraction pattern in this record (CuKα).
Intensities are scaled so that the largest is 100.

a b c (Å): 4.790 4.790 12.387
angles (deg): 90.00 90.00 85.84
Fractional positions:
Fe 0.000 0.000 0.000
Fe 0.000 0.000 0.500
Fe 0.028 0.972 0.750
Fe 0.491 0.509 0.619
Fe 0.491 0.509 0.881
Fe 0.509 0.491 0.119
Fe 0.509 0.491 0.381
Fe 0.972 0.028 0.250
O 0.298 0.702 0.003
O 0.298 0.702 0.497
O 0.330 0.670 0.750
O 0.670 0.330 0.250
O 0.702 0.298 0.503
O 0.702 0.298 0.997
F 0.195 0.205 0.120
F 0.195 0.205 0.380
F 0.205 0.195 0.620
F 0.205 0.195 0.880
F 0.286 0.714 0.250
F 0.714 0.286 0.750
F 0.795 0.805 0.120
F 0.795 0.805 0.380
F 0.805 0.795 0.620
F 0.805 0.795 0.880

Peak list (10 most intense, 2θ = 10–90°, sorted by position)
2θ (°)  I/Imax
25.4  96
27.3  89
34.5  100
38.8  18
40.2  16
50.9  65
52.2  21
53.1  49
59.7  16
66.0  49